Computed powder diffraction line list of LaPm3Pr8 for Cu Kα (weighted mean of Kα1 and Kα2), from the GGA-PBE geometry in Alexandria.
Intensities are scaled so that the largest is 100.

Atomic structure:
```
data_LaPm3Pr8
_chemical_formula_sum 'La1 Pm3 Pr8'
_symmetry_space_group_name_H-M 'P 1'
_symmetry_Int_Tables_number 1
_cell_length_a 6.408
_cell_length_b 6.432
_cell_length_c 11.108
_cell_angle_alpha 73.25
_cell_angle_beta 89.97
_cell_angle_gamma 80.59
loop_
_symmetry_equiv_pos_as_xyz
'x,y,z'
loop_
_atom_site_label
_atom_site_fract_x
_atom_site_fract_y
_atom_site_fract_z
La1 0.000 0.000 0.000
Pm1 0.251 0.498 0.251
Pm2 0.500 0.000 0.500
Pm3 0.751 0.502 0.749
Pr1 0.001 0.999 0.334
Pr2 0.251 0.500 0.916
Pr3 0.252 0.500 0.583
Pr4 0.499 0.999 0.168
Pr5 0.501 0.001 0.832
Pr6 0.750 0.500 0.417
Pr7 0.751 0.500 0.083
Pr8 0.999 0.000 0.666
```

The 12 most intense peaks (15 to 90 degrees two-theta), sorted by position:
| Position (°2θ) | Rel. int. | h k l |
| --- | --- | --- |
| 29.50 | 100 | 1 0 3 |
| 29.58 | 33 | 2 1 0 |
| 34.22 | 68 | 1 2 3 |
| 49.06 | 16 | 1 -2 3 |
| 49.22 | 32 | 3 1 3 |
| 58.35 | 29 | 1 4 3 |
| 58.48 | 24 | 4 0 0 |
| 61.28 | 8 | 2 0 6 |
| 79.64 | 6 | 2 5 0 |
| 79.86 | 12 | 5 2 3 |
| 82.07 | 5 | 0 5 6 |
| 82.31 | 9 | 5 0 3 |